Starting from DFT lattice parameters and positions (PBE), the XRD peak list of PaTaNb14 was simulated for Cu Ka.
No peak broadening, texture or thermal motion is included.

Top 12 peaks for 10 to 90 degrees two-theta, by angle:
d = 4.717 Å, I = 3.0, (0 2 0); d = 4.219 Å, I = 2.3, (0 2 1); d = 3.337 Å, I = 1.8, (2 0 0); d = 3.147 Å, I = 1.7, (0 0 3); d = 2.726 Å, I = 1.6, (2 2 0); d = 2.619 Å, I = 2.0, (2 2 1); d = 2.360 Å, I = 100.0, (2 2 2); d = 2.289 Å, I = 1.0, (2 0 3); d = 1.784 Å, I = 1.0, (2 2 4); d = 1.669 Å, I = 17.0, (4 0 0); d = 1.362 Å, I = 34.0, (4 4 0); d = 1.180 Å, I = 10.6, (4 4 4)

Unit cell a=6.682 b=9.435 c=9.433 alpha=90.00 beta=90.00 gamma=90.00
Space group Cmmm (No. 65)
Symmetry-distinct sites (fractional):
1 Pa 0.000 0.000 0.000
2 Ta 0.000 0.500 0.000
3 Nb 0.000 0.000 0.500
4 Nb 0.000 0.255 0.254
5 Nb 0.000 0.500 0.500
6 Nb 0.246 0.000 0.251
7 Nb 0.250 0.250 0.000
8 Nb 0.250 0.250 0.500



Starting from DFT lattice parameters and positions (PBE), the XRD peak list of Sr2TaHg was simulated for Cu Ka.
No peak broadening, texture or thermal motion is included.

Top 12 peaks for 10 to 90 degrees two-theta, by angle:
d = 6.611 Å, I = 81.3, (0 0 2); d = 3.591 Å, I = 53.4, (0 1 1); d = 2.929 Å, I = 69.5, (1 1 1); d = 2.848 Å, I = 64.0, (0 1 3); d = 2.768 Å, I = 100.0, (1 0 4); d = 2.531 Å, I = 48.8, (2 0 0); d = 2.482 Å, I = 71.6, (1 1 3); d = 2.069 Å, I = 24.6, (2 1 1); d = 2.020 Å, I = 26.9, (1 0 6); d = 1.892 Å, I = 39.2, (2 1 3); d = 1.547 Å, I = 34.9, (1 2 4); d = 1.502 Å, I = 35.5, (2 2 0)

Unit cell a=5.062 b=3.731 c=13.222 alpha=90.00 beta=90.00 gamma=90.00
Space group Amm2 (No. 38)
Symmetry-distinct sites (fractional):
1 Sr 0.000 0.000 0.000
2 Sr 0.500 0.000 0.316
3 Ta 0.500 0.000 0.604
4 Hg 0.000 0.000 0.709



Starting from DFT lattice parameters and positions (PBE), the XRD peak list of Pr12HoEr2 was simulated for Cu Ka.
No peak broadening, texture or thermal motion is included.

Top 12 peaks for 10 to 90 degrees two-theta, by angle:
d = 3.140 Å, I = 27.9, (2 0 4); d = 3.065 Å, I = 43.8, (0 2 7); d = 2.993 Å, I = 64.1, (2 2 2); d = 2.930 Å, I = 65.0, (0 4 0); d = 2.892 Å, I = 18.6, (2 2 3); d = 2.770 Å, I = 100.0, (0 2 8); d = 2.483 Å, I = 31.3, (2 2 6); d = 2.142 Å, I = 18.8, (2 4 4); d = 1.659 Å, I = 20.3, (0 6 8); d = 1.614 Å, I = 18.1, (2 4 11); d = 1.541 Å, I = 18.4, (4 4 0); d = 1.516 Å, I = 18.5, (4 2 8)

Unit cell a=7.244 b=11.720 c=25.174 alpha=90.00 beta=90.00 gamma=90.00
Space group Cmme (No. 67)
Symmetry-distinct sites (fractional):
1 Pr 0.000 0.002 0.073
2 Pr 0.000 0.024 0.560
3 Pr 0.231 0.250 0.414
4 Pr 0.249 0.250 0.870
5 Pr 0.250 0.000 0.198
6 Pr 0.250 0.000 0.324
7 Ho 0.000 0.250 0.999
8 Er 0.000 0.250 0.267
9 Er 0.000 0.250 0.730



Starting from DFT lattice parameters and positions (PBE), the XRD peak list of Ce2Th2As5 was simulated for Cu Ka.
No peak broadening, texture or thermal motion is included.

Top 12 peaks for 10 to 90 degrees two-theta, by angle:
d = 3.941 Å, I = 43.2, (0 0 2); d = 3.692 Å, I = 79.2, (3 1 1); d = 3.478 Å, I = 84.7, (2 0 2); d = 2.869 Å, I = 75.2, (3 1 2); d = 2.787 Å, I = 71.2, (0 2 2); d = 2.611 Å, I = 90.5, (5 1 1); d = 2.549 Å, I = 58.8, (4 2 1); d = 2.462 Å, I = 100.0, (6 0 0); d = 2.454 Å, I = 65.1, (1 3 1); d = 1.907 Å, I = 63.6, (5 1 3); d = 1.903 Å, I = 62.6, (5 3 1); d = 1.394 Å, I = 46.4, (0 4 4)

Unit cell a=14.784 b=7.868 c=7.895 alpha=90.00 beta=90.00 gamma=90.00
Space group Cmce (No. 64)
Symmetry-distinct sites (fractional):
1 Ce 0.000 0.152 0.156
2 Th 0.197 0.000 0.500
3 As 0.000 0.000 0.500
4 As 0.139 0.158 0.846



Starting from DFT lattice parameters and positions (PBE), the XRD peak list of CsK2FeCl5 was simulated for Cu Ka.
No peak broadening, texture or thermal motion is included.

Top 12 peaks for 10 to 90 degrees two-theta, by angle:
d = 7.191 Å, I = 30.1, (0 0 2); d = 4.425 Å, I = 41.3, (2 0 0); d = 3.769 Å, I = 82.2, (2 0 2); d = 3.129 Å, I = 46.6, (2 2 0); d = 3.118 Å, I = 27.0, (1 1 4); d = 3.052 Å, I = 74.1, (2 1 3); d = 2.795 Å, I = 100.0, (3 1 0); d = 2.360 Å, I = 38.2, (2 2 4); d = 2.108 Å, I = 21.5, (2 0 6); d = 1.979 Å, I = 26.8, (4 2 0); d = 1.884 Å, I = 27.9, (4 0 4); d = 1.734 Å, I = 27.2, (4 2 4)

Unit cell a=8.850 b=8.850 c=14.382 alpha=90.00 beta=90.00 gamma=90.00
Space group I4/mcm (No. 140)
Symmetry-distinct sites (fractional):
1 Cs 0.000 0.000 0.250
2 K 0.169 0.331 0.000
3 Fe 0.000 0.500 0.250
4 Cl 0.000 0.000 0.000
5 Cl 0.140 0.360 0.353



Starting from DFT lattice parameters and positions (PBE), the XRD peak list of PrTl2As2O6 was simulated for Cu Ka.
No peak broadening, texture or thermal motion is included.

Top 12 peaks for 10 to 90 degrees two-theta, by angle:
d = 3.639 Å, I = 100.0, (1 1 1); d = 3.383 Å, I = 22.0, (0 0 2); d = 3.246 Å, I = 70.0, (1 1 -2); d = 3.127 Å, I = 28.2, (2 0 1); d = 3.111 Å, I = 59.4, (0 2 0); d = 2.971 Å, I = 97.6, (3 1 -1); d = 2.364 Å, I = 28.9, (2 2 -2); d = 2.258 Å, I = 35.1, (0 0 3); d = 2.205 Å, I = 29.1, (2 2 1); d = 1.819 Å, I = 49.0, (5 1 -3); d = 1.775 Å, I = 25.3, (3 1 2); d = 1.768 Å, I = 24.0, (3 3 -1)

Unit cell a=10.148 b=6.221 c=7.650 alpha=90.00 beta=117.83 gamma=90.00
Space group C2/m (No. 12)
Symmetry-distinct sites (fractional):
1 Pr 0.000 0.000 0.000
2 Tl 0.213 0.000 0.695
3 As 0.055 0.500 0.725
4 O 0.038 0.279 0.236
5 O 0.240 0.500 0.918